The following is a simulated PXRD pattern of Li2VCrP2O8F2. It was derived from a crystal structure in Alexandria, relaxed with GGA+U, using Cu Kα (weighted mean of Kα1 and Kα2).
Neutral-atom scattering factors, no anomalous dispersion.

Structural model:
Cell: 5.3702 7.4052 14.5582 Å, 94.37 92.66 109.70°
Fractional positions:
Li  0.0000  0.0000  0.0000
Li  0.1285  0.8985  0.2812
Li  0.3289  0.3284  0.3371
Li  0.4682  0.2327  0.6103
Li  0.6658  0.6670  0.6672
Li  0.8046  0.5691  0.9422
V  0.0645  0.4495  0.1404
V  0.0663  0.4498  0.6392
V  0.3994  0.7827  0.9722
Cr  0.4000  0.7820  0.4726
Cr  0.7323  0.1160  0.3075
Cr  0.7335  0.1170  0.8058
P  0.0378  0.0622  0.4926
P  0.0928  0.8368  0.7860
P  0.3748  0.3975  0.8253
P  0.4249  0.1647  0.1218
P  0.7068  0.7351  0.1596
P  0.7592  0.5011  0.4526
O  0.0009  0.6303  0.7348
O  0.0303  0.0789  0.3853
O  0.0300  0.6262  0.4245
O  0.0977  0.8177  0.8931
O  0.1042  0.2717  0.8528
O  0.1318  0.2689  0.5437
O  0.2023  0.2426  0.0916
O  0.2663  0.9897  0.5220
O  0.3314  0.9600  0.0693
O  0.3634  0.9624  0.7586
O  0.3702  0.4182  0.7186
O  0.4305  0.1476  0.2288
O  0.4346  0.6100  0.1868
O  0.4676  0.6037  0.8773
O  0.5321  0.5748  0.4223
O  0.6027  0.3252  0.8558
O  0.6641  0.2937  0.4026
O  0.6958  0.2900  0.0939
O  0.7040  0.7528  0.0526
O  0.7646  0.4834  0.5598
O  0.7679  0.9373  0.5210
O  0.8011  0.9404  0.2110
O  0.8646  0.9088  0.7557
O  0.9279  0.6558  0.1905
F  0.0178  0.3322  0.2645
F  0.1066  0.5615  0.0167
F  0.3583  0.6718  0.5925
F  0.4471  0.8974  0.3520
F  0.6920  0.0066  0.9266
F  0.7738  0.2275  0.6855

Main lines, by angle (2θ = 10–90°):
| Position (°2θ) | intensity | hkl |
| --- | --- | --- |
| 17.87 | 33.5 | 1 -1 0 |
| 18.39 | 41.7 | 0 0 3 |
| 18.56 | 61.1 | 0 1 2 |
| 25.82 | 27.2 | 1 -1 3 |
| 26.52 | 29.2 | 1 1 1 |
| 26.65 | 72.2 | 0 1 -4 |
| 26.85 | 93.3 | 1 1 -2 |
| 29.07 | 100.0 | -1 2 2 |
| 36.23 | 34.0 | 2 -1 2 |
| 54.61 | 26.6 | 3 0 0 |